Computed powder X-ray diffraction pattern
Compound: Tb4Sm3Er4
Radiation: CuKα
Structure: DFT lattice parameters and positions (PBE)

The 8 most intense peaks (2θ from 5° to 70°), by intensity:
two_theta	d_spacing	intensity
30.8	2.904	100
51.4	1.779	36
35.7	2.518	34
61.1	1.518	29
35.8	2.511	17
61.2	1.515	14
64.1	1.452	9
64.1	1.452	3

Structural model:
```
11
Lattice="3.560 0.000 0.000 -0.001 5.022 0.000 -1.777 -2.507 19.583" Properties=species:S:1:pos:R:3 pbc="T T T"
Tb 0.001 0.000 1.798
Tb 0.001 0.005 12.426
Tb 1.781 2.510 7.157
Tb 1.781 2.515 17.785
Sm 0.002 0.000 5.362
Sm 1.780 2.511 0.000
Sm 1.780 2.515 14.221
Er 0.001 0.001 8.918
Er 0.001 0.004 16.011
Er 1.781 2.511 3.572
Er 1.781 2.514 10.666
```

Computed powder X-ray diffraction pattern
Compound: Cd11HgPb
Radiation: CuKα
Structure: DFT lattice parameters and positions (PBE)

The 10 most intense peaks (2θ from 5° to 70°), by intensity:
two_theta	d_spacing	intensity
35.8	2.509	100
33.7	2.658	76
34.2	2.625	70
35.0	2.561	48
38.5	2.336	47
30.5	2.929	47
35.3	2.541	46
40.2	2.244	45
35.4	2.534	29
35.6	2.524	27

Structural model:
```
13
Lattice="3.107 -7.088 0.000 3.107 7.088 0.000 -2.969 0.000 7.104" Properties=species:S:1:pos:R:3 pbc="T T T"
Cd 0.000 0.000 0.000
Cd 1.653 -5.554 5.082
Cd 0.069 3.544 3.552
Cd 1.592 5.554 2.022
Cd 1.550 2.490 1.065
Cd 1.653 5.554 5.082
Cd 1.550 -2.490 1.065
Cd 0.069 -3.544 3.552
Cd 1.695 2.490 6.039
Cd 1.592 -5.554 2.022
Cd 1.695 -2.490 6.039
Hg 3.107 0.000 0.000
Pb 1.623 0.000 3.552
```

Computed powder X-ray diffraction pattern
Compound: Dy2Er2Th3
Radiation: CuKα
Structure: DFT lattice parameters and positions (PBE)

The 10 most intense peaks (2θ from 5° to 70°), by intensity:
two_theta	d_spacing	intensity
31.7	2.824	100
35.4	2.535	73
31.1	2.879	53
32.0	2.796	45
39.1	2.305	27
61.6	1.505	26
53.1	1.724	23
66.2	1.412	22
9.6	9.219	20
54.4	1.688	18

Structural model:
```
7
Lattice="7.201 -1.786 0.000 7.201 1.786 0.000 -6.922 0.000 9.219" Properties=species:S:1:pos:R:3 pbc="T T T"
Dy 0.964 0.000 3.379
Dy 6.516 0.000 5.840
Er -2.410 0.000 8.213
Er 9.890 0.000 1.006
Th 0.000 0.000 0.000
Th 5.310 0.000 2.487
Th 2.170 0.000 6.733
```

Computed powder X-ray diffraction pattern
Compound: TaHg4Os
Radiation: CuKα
Structure: DFT lattice parameters and positions (PBE)

The 9 most intense peaks (2θ from 5° to 70°), by intensity:
two_theta	d_spacing	intensity
38.2	2.358	100
39.9	2.257	44
61.6	1.505	33
67.8	1.382	30
32.4	2.765	24
57.8	1.596	9
19.7	4.515	8
46.5	1.955	6
50.9	1.794	2

Structural model:
```
6
Lattice="0.000 3.910 3.910 3.910 0.000 3.910 3.910 3.910 0.000" Properties=species:S:1:pos:R:3 pbc="T T T"
Ta 0.000 0.000 0.000
Hg 4.887 2.933 2.933
Hg 2.933 4.887 2.933
Hg 2.933 2.933 4.887
Hg 4.887 4.887 4.887
Os 1.955 1.955 1.955
```

Computed powder X-ray diffraction pattern
Compound: Sr3CaIn12
Radiation: CuKα
Structure: DFT lattice parameters and positions (PBE)

The 10 most intense peaks (2θ from 5° to 70°), by intensity:
two_theta	d_spacing	intensity
32.1	2.788	100
36.9	2.436	34
63.5	1.466	27
53.9	1.700	22
37.9	2.374	16
64.8	1.438	12
53.2	1.723	12
67.1	1.394	11
18.2	4.872	2
26.2	3.399	2

Structural model:
```
16
Lattice="4.872 0.000 0.000 0.000 4.872 0.000 0.000 0.000 18.989" Properties=species:S:1:pos:R:3 pbc="T T T"
Sr 0.000 0.000 0.000
Sr 0.000 0.000 4.836
Sr 0.000 0.000 14.153
Ca 0.000 0.000 9.494
In 0.000 2.436 2.411
In 0.000 2.436 7.233
In 0.000 2.436 11.756
In 0.000 2.436 16.578
In 2.436 0.000 2.411
In 2.436 0.000 7.233
In 2.436 0.000 11.756
In 2.436 0.000 16.578
In 2.436 2.436 0.000
In 2.436 2.436 4.752
In 2.436 2.436 9.494
In 2.436 2.436 14.237
```